[1]
La2Ti3CoO10: computed powder diffractogram (Cu Kα (λ = 1.5418 Å)), based on a structure optimized by DFT (PBE+U).
Peak positions follow from Bragg's law for the DFT cell and can differ from measured ones.

The 10 most intense peaks (10° ≤ 2θ ≤ 90°), by intensity:
2θ 28.42, I 100.0; 2θ 32.70, I 80.3; 2θ 47.43, I 52.4; 2θ 33.04, I 38.5; 2θ 42.54, I 31.5; 2θ 58.80, I 30.5; 2θ 56.22, I 28.0; 2θ 33.70, I 25.3; 2θ 23.43, I 24.6; 2θ 39.48, I 23.6

a = 13.959 Å, b = 13.959 Å, c = 13.959 Å
α = 164.21°, β = 164.21°, γ = 22.40°
Element x y z (fractional)
La  0.080  0.080  0.000
La  0.920  0.920  0.000
Ti  0.343  0.343  0.000
Ti  0.500  0.500  0.000
Ti  0.657  0.657  0.000
Co  0.750  0.250  0.500
O  0.000  0.500  0.500
O  0.140  0.640  0.500
O  0.277  0.277  0.000
O  0.360  0.860  0.500
O  0.429  0.429  0.000
O  0.500  0.000  0.500
O  0.571  0.571  0.000
O  0.641  0.141  0.500
O  0.723  0.723  0.000
O  0.859  0.359  0.500

---

[2]
La2ZnCoO6: computed powder diffractogram (Cu Kα (λ = 1.5418 Å)), based on a structure optimized by DFT (PBE+U).
Peak positions follow from Bragg's law for the DFT cell and can differ from measured ones.

The 10 most intense peaks (10° ≤ 2θ ≤ 90°), by intensity:
2θ 32.00, I 100.0; 2θ 32.79, I 66.3; 2θ 46.42, I 39.0; 2θ 32.74, I 33.3; 2θ 57.50, I 27.6; 2θ 22.75, I 20.5; 2θ 46.55, I 19.2; 2θ 39.62, I 18.5; 2θ 57.01, I 16.1; 2θ 57.58, I 13.6

a = 5.473 Å, b = 9.611 Å, c = 9.617 Å
α = 79.26°, β = 74.31°, γ = 88.53°
Element x y z (fractional)
La  0.000  0.000  0.000
La  0.119  0.378  0.748
La  0.249  0.743  0.508
La  0.369  0.125  0.253
La  0.501  0.496  0.998
La  0.621  0.872  0.748
La  0.749  0.249  0.504
La  0.869  0.621  0.256
Zn  0.061  0.685  0.875
Zn  0.308  0.434  0.378
Zn  0.560  0.188  0.875
Zn  0.809  0.935  0.379
Co  0.184  0.060  0.627
Co  0.435  0.811  0.126
Co  0.684  0.561  0.626
Co  0.934  0.310  0.127
O  0.004  0.472  0.974
O  0.112  0.899  0.782
O  0.167  0.385  0.211
O  0.168  0.905  0.243
O  0.202  0.213  0.013
O  0.203  0.737  0.042
O  0.257  0.221  0.473
O  0.365  0.649  0.276
O  0.417  0.133  0.713
O  0.417  0.658  0.746
O  0.449  0.487  0.539
O  0.449  0.964  0.511
O  0.506  0.973  0.975
O  0.611  0.396  0.783
O  0.665  0.886  0.211
O  0.666  0.406  0.243
O  0.702  0.718  0.008
O  0.704  0.234  0.043
O  0.760  0.726  0.469
O  0.863  0.147  0.283
O  0.919  0.156  0.744
O  0.920  0.636  0.714
O  0.952  0.987  0.542
O  0.953  0.465  0.506

---

[3]
La2ZnCoO6: computed powder diffractogram (Cu Kα (λ = 1.5418 Å)), based on a structure optimized by DFT (PBE+U).
Peak positions follow from Bragg's law for the DFT cell and can differ from measured ones.

The 10 most intense peaks (10° ≤ 2θ ≤ 90°), by intensity:
2θ 32.01, I 100.0; 2θ 32.76, I 99.8; 2θ 46.46, I 58.4; 2θ 57.53, I 41.4; 2θ 57.06, I 24.0; 2θ 22.75, I 20.5; 2θ 39.63, I 18.6; 2θ 58.94, I 18.3; 2θ 68.66, I 16.7; 2θ 66.94, I 15.9

a = 5.468 Å, b = 5.590 Å, c = 7.829 Å
α = 89.94°, β = 88.21°, γ = 89.95°
Element x y z (fractional)
La  0.003  0.000  0.248
La  0.497  0.500  0.251
La  0.503  0.500  0.749
La  0.997  0.000  0.752
Zn  0.000  0.500  0.000
Zn  0.500  0.000  0.500
Co  0.000  0.500  0.500
Co  0.500  0.000  0.000
O  0.005  0.431  0.260
O  0.208  0.770  0.463
O  0.224  0.203  0.969
O  0.275  0.298  0.531
O  0.293  0.729  0.037
O  0.495  0.068  0.239
O  0.505  0.932  0.761
O  0.707  0.271  0.963
O  0.725  0.702  0.469
O  0.776  0.797  0.031
O  0.792  0.230  0.537
O  0.995  0.569  0.740

---

Which formula does entry 1 have?
La2Ti3CoO10